# 1
Calculated powder diffraction line list of Y5CdSe4 for Cu Ka, from DFT lattice parameters and positions (PBE).
Peak positions follow from Bragg's law for the DFT cell and can differ from measured ones.

Main lines, low angle first (15° ≤ 2θ ≤ 90°):
| Position (°2θ) | intensity |
| --- | --- |
| 17.91 | 1 |
| 26.35 | 1 |
| 30.52 | 100 |
| 43.71 | 73 |
| 54.25 | 25 |
| 63.45 | 4 |
| 63.57 | 8 |
| 72.09 | 21 |
| 72.16 | 10 |
| 80.29 | 23 |

Cell and atoms:
a = 9.256 Å, b = 9.256 Å, c = 5.864 Å
α = 90.00°, β = 90.00°, γ = 90.00°
Space group I4/m (No. 87)
Unique sites:
Y1 0.000 0.000 0.000 x2
Y2 0.101 0.305 0.500 x8
Cd1 0.000 0.000 0.500 x2
Se1 0.100 0.302 0.000 x8

***

# 2
Calculated powder diffraction line list of NaAg5I8 for Cu Ka, from DFT lattice parameters and positions (PBE).
Peak positions follow from Bragg's law for the DFT cell and can differ from measured ones.

Main lines, low angle first (15° ≤ 2θ ≤ 90°):
| Position (°2θ) | intensity |
| --- | --- |
| 23.56 | 33 |
| 24.62 | 32 |
| 28.50 | 94 |
| 37.30 | 30 |
| 40.75 | 100 |
| 48.19 | 12 |
| 50.48 | 23 |
| 58.99 | 15 |
| 66.80 | 27 |
| 74.18 | 29 |

Cell and atoms:
a = 12.526 Å, b = 12.526 Å, c = 12.526 Å
α = 90.00°, β = 90.00°, γ = 90.00°
Space group F-43m (No. 216)
Unique sites:
Na1 0.000 0.000 0.000 x4
Ag1 0.125 0.125 0.375 x16
Ag2 0.250 0.250 0.750 x4
I1 0.118 0.118 0.618 x16
I2 0.136 0.136 0.136 x16